(1)
Diffraction record for Ba2Ta15O32. The X-ray diffraction stick pattern is theoretical, not measured: it uses DFT lattice parameters and positions (GGA-PBE) and λ = 1.5418 Å (Cu Kα).

The 6 most intense peaks (2θ from 5° to 70°), most intense first:
two_theta	I/Imax
27.1	100.0
28.0	93.3
34.9	81.5
7.4	75.8
50.1	75.6
36.3	63.5

Cell and atoms:
```
data_Ba2Ta15O32
_symmetry_space_group_name_H-M 'R -3'
_symmetry_Int_Tables_number 148
_symmetry_space_group_name_Hall '-R 3'
_cell_length_a 7.8657
_cell_length_b 7.8657
_cell_length_c 36.0292
_cell_angle_alpha 90.00
_cell_angle_beta 90.00
_cell_angle_gamma 120.00
loop_
_atom_site_label
_atom_site_type_symbol
_atom_site_fract_x
_atom_site_fract_y
_atom_site_fract_z
Ba1 Ba 0.0000 0.0000 0.1398
Ta1 Ta 0.0000 0.0000 0.3613
Ta2 Ta 0.0000 0.0000 0.5000
Ta3 Ta 0.0230 0.2152 0.0323
Ta4 Ta 0.0702 0.4743 0.9011
O1 O 0.0000 0.0000 0.2622
O2 O 0.0081 0.2131 0.5318
O3 O 0.0295 0.2348 0.9317
O4 O 0.0595 0.2343 0.7928
O5 O 0.0611 0.2369 0.3957
O6 O 0.0731 0.2387 0.6669
```

(2)
Diffraction record for BaTaO3. The X-ray diffraction stick pattern is theoretical, not measured: it uses DFT lattice parameters and positions (GGA-PBE) and λ = 1.5418 Å (Cu Kα).

The 6 most intense peaks (2θ from 5° to 70°), most intense first:
two_theta	I/Imax
30.6	100.0
54.4	40.7
43.8	27.7
63.7	17.5
21.5	5.7
49.3	2.5

Cell and atoms:
```
data_BaTaO3
_symmetry_space_group_name_H-M 'P m -3 m'
_symmetry_Int_Tables_number 221
_symmetry_space_group_name_Hall '-P 4 2 3'
_cell_length_a 4.1308
_cell_length_b 4.1308
_cell_length_c 4.1308
_cell_angle_alpha 90.00
_cell_angle_beta 90.00
_cell_angle_gamma 90.00
loop_
_atom_site_label
_atom_site_type_symbol
_atom_site_fract_x
_atom_site_fract_y
_atom_site_fract_z
Ba1 Ba 0.0000 0.0000 0.0000
Ta1 Ta 0.5000 0.5000 0.5000
O1 O 0.0000 0.5000 0.5000
```

(3)
Diffraction record for BaTa2O6. The X-ray diffraction stick pattern is theoretical, not measured: it uses DFT lattice parameters and positions (GGA-PBE) and λ = 1.5418 Å (Cu Kα).

The 6 most intense peaks (2θ from 5° to 70°), most intense first:
two_theta	I/Imax
10.0	100.0
27.3	99.3
19.1	69.4
12.5	69.1
18.1	62.0
27.6	61.6

Cell and atoms:
```
data_BaTa2O6
_symmetry_space_group_name_H-M 'P 1'
_symmetry_Int_Tables_number 1
_symmetry_space_group_name_Hall 'P 1'
_cell_length_a 9.2907
_cell_length_b 9.8537
_cell_length_c 14.1979
_cell_angle_alpha 88.24
_cell_angle_beta 88.08
_cell_angle_gamma 63.33
loop_
_atom_site_label
_atom_site_type_symbol
_atom_site_fract_x
_atom_site_fract_y
_atom_site_fract_z
Ba1 Ba 0.0000 0.0000 0.0000
Ba2 Ba 0.0518 0.0239 0.5113
Ba3 Ba 0.1930 0.3494 0.0112
Ba4 Ba 0.2771 0.2959 0.5369
Ba5 Ba 0.6181 0.8337 0.0048
Ba6 Ba 0.7432 0.8203 0.5196
Ta1 Ta 0.3405 0.6051 0.3918
Ta2 Ta 0.3566 0.6398 0.1504
Ta3 Ta 0.3771 0.6155 0.8968
Ta4 Ta 0.4201 0.5914 0.6348
Ta5 Ta 0.5879 0.1780 0.9037
Ta6 Ta 0.6138 0.1676 0.1468
Ta7 Ta 0.6644 0.1656 0.3988
Ta8 Ta 0.6692 0.1495 0.6453
Ta9 Ta 0.7903 0.4002 0.1583
Ta10 Ta 0.8366 0.4546 0.8935
Ta11 Ta 0.8630 0.4545 0.6282
Ta12 Ta 0.9657 0.4437 0.3811
O1 O 0.0206 0.2585 0.6074
O2 O 0.0920 0.2426 0.4051
O3 O 0.0946 0.5368 0.4051
O4 O 0.2379 0.6674 0.2677
O5 O 0.2601 0.8193 0.9166
O6 O 0.2688 0.6090 0.0406
O7 O 0.2811 0.6861 0.5267
O8 O 0.3409 0.6447 0.7589
O9 O 0.3969 0.7983 0.1222
O10 O 0.4001 0.4072 0.9021
O11 O 0.4008 0.2189 0.1506
O12 O 0.4346 0.1114 0.9304
O13 O 0.4620 0.3981 0.4046
O14 O 0.4713 0.3906 0.6297
O15 O 0.4888 0.6693 0.3711
O16 O 0.5226 0.0880 0.4237
O17 O 0.5273 0.0727 0.6247
O18 O 0.5574 0.4624 0.1624
O19 O 0.5901 0.5832 0.9137
O20 O 0.6095 0.6102 0.6228
O21 O 0.6494 0.2076 0.7745
O22 O 0.6530 0.2381 0.0226
O23 O 0.6858 0.2122 0.2658
O24 O 0.7176 0.2266 0.5208
O25 O 0.7221 0.9628 0.1297
O26 O 0.7635 0.9867 0.9165
O27 O 0.8089 0.5019 0.0514
O28 O 0.8159 0.5033 0.4823
O29 O 0.8170 0.4363 0.7610
O30 O 0.8534 0.9821 0.4081
O31 O 0.8588 0.9731 0.6320
O32 O 0.8685 0.4744 0.2571
O33 O 0.9293 0.2039 0.1368
O34 O 0.9463 0.5650 0.8990
O35 O 0.9758 0.5627 0.6249
O36 O 0.9815 0.2606 0.9292
```